Record 1
Computed PXRD pattern
Compound: CuSn4Ge3
Radiation: copper Kα
Structure: a cell relaxed with PBE

Structure:
a = 6.072 Å, b = 6.072 Å, c = 12.558 Å
α = 90.00°, β = 90.00°, γ = 90.00°
Space group I-42m (No. 121)
Asymmetric unit:
Cu 0.000 0.000 0.000
Sn 0.240 0.240 0.877
Ge 0.000 0.000 0.500
Ge 0.000 0.500 0.250

Main lines, in order of rising 2θ (5 to 70 degrees two-theta):
two_theta	I_rel
25.1	100
41.4	51
42.1	24
48.4	17
49.6	31
61.0	8
66.0	13
67.1	7

Record 2
Computed PXRD pattern
Compound: ZnPd19
Radiation: copper Kα
Structure: a cell relaxed with PBE

Structure:
a = 5.567 Å, b = 3.910 Å, c = 40.850 Å
α = 90.00°, β = 90.00°, γ = 90.00°
Space group P2_1/m (No. 11)
Asymmetric unit:
Zn 0.125 0.250 0.323
Pd 0.123 0.250 0.705
Pd 0.124 0.250 0.776
Pd 0.125 0.250 0.052
Pd 0.125 0.250 0.120
Pd 0.125 0.250 0.189
Pd 0.125 0.250 0.259
Pd 0.125 0.250 0.845
Pd 0.125 0.250 0.914
Pd 0.125 0.250 0.983
Pd 0.373 0.750 0.295
Pd 0.374 0.750 0.224
Pd 0.375 0.750 0.017
Pd 0.375 0.750 0.086
Pd 0.375 0.750 0.155
Pd 0.375 0.750 0.673
Pd 0.375 0.750 0.741
Pd 0.375 0.750 0.810
Pd 0.375 0.750 0.880
Pd 0.375 0.750 0.949

Main lines, in order of rising 2θ (5 to 70 degrees two-theta):
two_theta	I_rel
38.5	55
39.8	100
40.4	49
45.0	35
46.5	32
46.7	34
66.7	21
68.0	20

Record 3
Computed PXRD pattern
Compound: GdHo2Mg3Ga3
Radiation: copper Kα
Structure: a cell relaxed with PBE

Structure:
a = 4.433 Å, b = 12.630 Å, c = 7.251 Å
α = 90.00°, β = 90.00°, γ = 90.00°
Space group Amm2 (No. 38)
Asymmetric unit:
Gd 0.000 0.000 0.000
Ho 0.000 0.213 0.359
Mg 0.500 0.000 0.329
Mg 0.500 0.122 0.694
Ga 0.000 0.000 0.570
Ga 0.500 0.168 0.073

Main lines, in order of rising 2θ (5 to 70 degrees two-theta):
two_theta	I_rel
20.0	35
28.4	30
31.8	100
34.9	44
35.0	92
40.7	32
50.3	23
56.7	26

Record 4
Computed PXRD pattern
Compound: Lu4InSbC2
Radiation: copper Kα
Structure: a cell relaxed with PBE

Structure:
a = 3.5439 Å, b = 3.5439 Å, c = 15.3515 Å
α = 90.00°, β = 90.00°, γ = 120.00°
Space group P-6m2 (No. 187)
Asymmetric unit:
Lu 0.0000 0.0000 0.1613
Lu 0.3333 0.6667 0.3293
In 0.0000 0.0000 0.5000
Sb 0.3333 0.6667 0.0000
C 0.6667 0.3333 0.2426

Main lines, in order of rising 2θ (5 to 70 degrees two-theta):
two_theta	I_rel
29.1	23
34.1	100
35.1	19
46.2	15
51.6	22
62.3	17
63.3	17
63.9	21

Record 5
Computed PXRD pattern
Compound: TcSe2
Radiation: copper Kα
Structure: a cell relaxed with PBE

Structure:
a = 3.427 Å, b = 5.947 Å, c = 35.809 Å
α = 90.00°, β = 90.00°, γ = 90.00°
Space group C222_1 (No. 20)
Asymmetric unit:
Tc 0.240 0.001 0.409
Se 0.240 0.334 0.366
Se 0.240 0.334 0.452

Main lines, in order of rising 2θ (5 to 70 degrees two-theta):
two_theta	I_rel
9.9	100
14.8	24
30.5	25
32.6	12
39.4	16
41.1	31
42.9	14
53.5	27

Record 6
Computed PXRD pattern
Compound: BaAsAuO
Radiation: copper Kα
Structure: a cell relaxed with PBE

Structure:
a = 3.703 Å, b = 8.329 Å, c = 5.917 Å
α = 90.00°, β = 90.00°, γ = 90.00°
Space group Pmc2_1 (No. 26)
Asymmetric unit:
Ba 0.000 0.133 0.000
As 0.000 0.463 0.597
Au 0.500 0.274 0.492
O 0.500 0.055 0.296

Main lines, in order of rising 2θ (5 to 70 degrees two-theta):
two_theta	I_rel
18.4	27
26.2	44
30.2	38
30.4	100
32.4	29
35.8	28
44.8	22
53.8	23

Record 7
Computed PXRD pattern
Compound: Tm2Fe3Si5
Radiation: copper Kα
Structure: a cell relaxed with PBE

Structure:
a = 10.295 Å, b = 10.295 Å, c = 5.404 Å
α = 90.00°, β = 90.00°, γ = 90.00°
Space group P4/mnc (No. 128)
Asymmetric unit:
Tm 0.070 0.236 0.000
Fe 0.000 0.500 0.250
Fe 0.123 0.856 0.500
Si 0.000 0.000 0.262
Si 0.023 0.319 0.500
Si 0.178 0.678 0.250

Main lines, in order of rising 2θ (5 to 70 degrees two-theta):
two_theta	I_rel
25.4	34
32.1	100
33.2	28
36.0	34
38.6	28
39.8	52
41.6	56
54.7	30

Record 8
Computed PXRD pattern
Compound: BaAg2MoSeS3
Radiation: copper Kα
Structure: a cell relaxed with PBE

Structure:
a = 6.424 Å, b = 6.476 Å, c = 6.488 Å
α = 110.81°, β = 116.94°, γ = 100.47°
Space group P1 (No. 1)
Asymmetric unit:
Ba 0.000 0.000 0.000
Ag 0.179 0.693 0.501
Ag 0.830 0.316 0.504
Mo 0.515 0.507 0.033
Se 0.471 0.472 0.623
S 0.146 0.523 0.997
S 0.534 0.150 0.016
S 0.861 0.865 0.391

Main lines, in order of rising 2θ (5 to 70 degrees two-theta):
two_theta	I_rel
24.2	50
26.4	38
27.9	61
28.1	100
28.3	44
35.8	48
36.4	53
45.0	36

Record 9
Computed PXRD pattern
Compound: LaPrGe4Os2
Radiation: copper Kα
Structure: a cell relaxed with PBE

Structure:
a = 4.549 Å, b = 4.463 Å, c = 8.507 Å
α = 90.00°, β = 104.16°, γ = 90.00°
Space group Pm (No. 6)
Asymmetric unit:
La 0.000 0.000 0.000
Pr 0.778 0.500 0.584
Ge 0.069 0.500 0.295
Ge 0.343 0.000 0.700
Ge 0.435 0.500 0.884
Ge 0.707 0.000 0.290
Os 0.271 0.000 0.407
Os 0.504 0.500 0.177

Main lines, in order of rising 2θ (5 to 70 degrees two-theta):
two_theta	I_rel
10.7	100
28.6	76
29.5	49
32.2	74
33.9	68
38.5	76
39.6	47
40.4	72

Record 10
Computed PXRD pattern
Compound: MgCdCo2As4
Radiation: copper Kα
Structure: a cell relaxed with PBE

Structure:
a = 5.742 Å, b = 5.742 Å, c = 10.931 Å
α = 90.00°, β = 90.00°, γ = 90.00°
Space group I-4 (No. 82)
Asymmetric unit:
Mg 0.000 0.000 0.000
Cd 0.000 0.500 0.250
Co 0.000 0.000 0.500
Co 0.000 0.500 0.750
As 0.179 0.255 0.622

Main lines, in order of rising 2θ (5 to 70 degrees two-theta):
two_theta	I_rel
17.4	13
27.4	100
35.9	16
43.1	8
44.6	18
45.8	43
53.2	20
55.2	17

Record 11
Computed PXRD pattern
Compound: Sc5Si6Pd4
Radiation: copper Kα
Structure: a cell relaxed with PBE

Structure:
a = 3.991 Å, b = 9.504 Å, c = 13.198 Å
α = 90.00°, β = 90.00°, γ = 90.00°
Space group Immm (No. 71)
Asymmetric unit:
Sc 0.000 0.000 0.000
Sc 0.000 0.000 0.272
Sc 0.000 0.172 0.500
Si 0.000 0.376 0.354
Si 0.000 0.500 0.089
Pd 0.000 0.267 0.168

Main lines, in order of rising 2θ (5 to 70 degrees two-theta):
two_theta	I_rel
13.4	29
18.7	32
30.2	30
35.8	100
36.6	26
44.9	24
45.4	62
49.2	22

Record 12
Computed PXRD pattern
Compound: Li2Mg3GaAu2
Radiation: copper Kα
Structure: a cell relaxed with PBE

Structure:
a = 4.560 Å, b = 4.560 Å, c = 6.502 Å
α = 90.00°, β = 90.00°, γ = 90.00°
Space group P-4m2 (No. 115)
Asymmetric unit:
Li 0.000 0.500 0.234
Mg 0.000 0.000 0.000
Mg 0.000 0.000 0.500
Mg 0.500 0.500 0.500
Ga 0.500 0.500 0.000
Au 0.000 0.500 0.754

Main lines, in order of rising 2θ (5 to 70 degrees two-theta):
two_theta	I_rel
23.8	100
27.7	15
39.4	57
39.5	28
46.4	18
46.7	35
57.1	10
62.5	15